Diffraction record for LiZnPH2O5. The PXRD pattern is theoretical, not measured: it uses a crystal structure in Alexandria, relaxed with GGA-PBE and λ = 1.5418 Å (Cu Kα).

Top 10 peaks for 2θ = 5–70°, in order of falling intensity:
2θ/deg, d [Å], I (rel.)
13.60, 6.511, 100
29.33, 3.045, 82
26.84, 3.322, 73
20.61, 4.311, 64
35.27, 2.544, 28
37.64, 2.390, 24
50.79, 1.798, 20
19.60, 4.530, 17
39.05, 2.307, 15
64.87, 1.437, 14

Structure:
```
LiZnPH2O5
1.0
10.9237 0.0000 0.0000
0.0000 8.1093 0.0000
0.0000 0.0000 5.0890
Li Zn P H O
4 4 4 8 20
Direct
0.1911 0.1919 0.0000
0.3089 0.6919 0.5000
0.6911 0.3081 0.0000
0.8089 0.8081 0.5000
0.1269 0.3831 0.5011
0.3731 0.8831 0.0011
0.6269 0.1169 0.5011
0.8731 0.6169 0.0011
0.1632 0.5955 0.0055
0.3368 0.0955 0.5055
0.6632 0.9045 0.0055
0.8368 0.4045 0.5055
0.0216 0.8233 0.3766
0.0216 0.9978 0.8521
0.4784 0.3233 0.8766
0.4784 0.4978 0.3521
0.5216 0.5022 0.8521
0.5216 0.6767 0.3766
0.9784 0.0022 0.3521
0.9784 0.1767 0.8766
0.0222 0.0906 0.9769
0.0412 0.6830 0.0762
0.1642 0.4186 0.1271
0.1815 0.5793 0.7035
0.2310 0.1984 0.6246
0.2690 0.6984 0.1246
0.3185 0.0793 0.2035
0.3358 0.9186 0.6271
0.4588 0.1830 0.5762
0.4778 0.5906 0.4769
0.5222 0.4094 0.9769
0.5412 0.8170 0.0762
0.6642 0.0814 0.1271
0.6815 0.9207 0.7035
0.7310 0.3016 0.6246
0.7690 0.8016 0.1246
0.8185 0.4207 0.2035
0.8358 0.5814 0.6271
0.9588 0.3170 0.5762
0.9778 0.9094 0.4769
```